Zr5Pd6: theoretical X-ray powder pattern (Cu Kα X-rays), based on DFT lattice parameters and positions (PBE).
Peak positions follow from Bragg's law for the DFT cell and can differ from measured ones.

Structure:
abc: 4.582 6.784 13.411
angles: 90.00 90.00 90.00
Space group Immm (No. 71)
Unique sites:
Zr1 0.000 0.000 0.000
Zr2 0.000 0.000 0.304
Zr3 0.000 0.500 0.348
Pd1 0.000 0.209 0.500
Pd2 0.000 0.290 0.145

Most intense lines, 10° ≤ 2θ ≤ 80°, sorted by position:
2θ/deg  I/Imax  h k l
35.73  24  1 1 4
38.69  100  1 2 3
38.91  8  1 0 5
39.33  32  2 0 0
40.35  17  0 0 6
40.45  10  0 3 1
57.64  19  2 0 6
63.66  8  0 3 7
68.91  9  2 4 0
70.87  16  3 2 3
77.45  9  2 3 7
78.94  9  1 5 4

=====

Pm3Pr4: theoretical X-ray powder pattern (Cu Kα X-rays), based on DFT lattice parameters and positions (PBE).
Peak positions follow from Bragg's law for the DFT cell and can differ from measured ones.

Structure:
abc: 3.691 3.691 36.553
angles: 90.00 90.00 90.00
Space group I4/mmm (No. 139)
Unique sites:
Pm1 0.000 0.000 0.000
Pm2 0.000 0.000 0.285
Pr1 0.000 0.000 0.144
Pr2 0.000 0.000 0.429

Most intense lines, 10° ≤ 2θ ≤ 80°, sorted by position:
2θ/deg  I/Imax  h k l
29.64  100  1 0 7
34.35  51  1 1 0
49.37  36  2 0 0
58.65  43  2 1 7
61.53  13  2 0 14
72.41  6  2 2 0